Theoretical powder diffraction line list
Compound: YTcN2
Radiation: Cu Kα (λ = 1.5418 Å)
Structure: the PBE geometry in Alexandria
Intensities are scaled so that the largest is 100.

```
data_YTcN2
_space_group_name_H-M_alt 'P n m a'
_space_group_IT_number 62
_cell_length_a 5.6639
_cell_length_b 3.1519
_cell_length_c 10.7606
_cell_angle_alpha 90.00
_cell_angle_beta 90.00
_cell_angle_gamma 90.00
loop_
_space_group_symop_operation_xyz
'x,y,z'
'-x,-y,-z'
'-x+1/2,-y,z+1/2'
'x+1/2,y,-z+1/2'
'x+1/2,-y+1/2,-z+1/2'
'-x+1/2,y+1/2,z+1/2'
'-x,y+1/2,-z'
'x,-y+1/2,z'
loop_
_atom_site_label
_atom_site_type_symbol
_atom_site_fract_x
_atom_site_fract_y
_atom_site_fract_z
Y1 Y 0.0757 0.2500 0.1482
Tc1 Tc 0.0616 0.7500 0.4031
N1 N 0.1709 0.2500 0.7545
N2 N 0.2479 0.2500 0.4968
```

Main lines, in order of rising 2θ (10° ≤ 2θ ≤ 90°):
- hkl 2 0 0, d = 2.832 Å, I = 15
- hkl 2 0 1, d = 2.739 Å, I = 20
- hkl 0 0 4, d = 2.690 Å, I = 19
- hkl 1 1 2, d = 2.452 Å, I = 100
- hkl 2 0 3, d = 2.223 Å, I = 15
- hkl 1 1 3, d = 2.184 Å, I = 10
- hkl 2 0 4, d = 1.950 Å, I = 13
- hkl 3 1 1, d = 1.602 Å, I = 19
- hkl 0 2 0, d = 1.576 Å, I = 10
- hkl 2 1 6, d = 1.366 Å, I = 11